Entry 1:
Structure and theoretical XRD peak list of PaSi2Pd3 (a GGA-PBE-relaxed structure; CuKα).
Peak positions follow from Bragg's law for the DFT cell and can differ from measured ones.

Most intense lines, 2θ = 10–90°, by angle:
| 2theta | intensity | hkl |
| --- | --- | --- |
| 27.80 | 208 | 3 1 -1 |
| 28.87 | 180 | 0 0 3 |
| 30.74 | 170 | 3 1 -2 |
| 31.55 | 490 | 3 1 1 |
| 34.94 | 199 | 6 0 0 |
| 35.38 | 344 | 5 1 -1 |
| 35.49 | 1000 | 1 1 -3 |
| 36.77 | 246 | 5 1 -2 |
| 40.42 | 212 | 5 1 1 |
| 43.22 | 158 | 6 0 -4 |
| 44.29 | 150 | 2 0 4 |
| 44.83 | 457 | 0 2 0 |

Structure:
Unit cell a=16.2952 b=4.0432 c=9.8125 alpha=90.00 beta=108.98 gamma=90.00
Space group C2/m (No. 12)
Symmetry-distinct sites (fractional):
Pa (0.0000, 0.0000, 0.0000) (multiplicity 2)
Pa (0.1571, 0.0000, 0.6986) (multiplicity 4)
Si (0.0376, 0.5000, 0.7822) (multiplicity 4)
Si (0.1359, 0.5000, 0.4504) (multiplicity 4)
Si (0.1987, 0.0000, 0.1293) (multiplicity 4)
Pd (0.0000, 0.5000, 0.5000) (multiplicity 2)
Pd (0.0382, 0.0000, 0.3340) (multiplicity 4)
Pd (0.1213, 0.5000, 0.1965) (multiplicity 4)
Pd (0.1796, 0.5000, 0.9632) (multiplicity 4)
Pd (0.2197, 0.0000, 0.3922) (multiplicity 4)

---

Entry 2:
Structure and theoretical XRD peak list of Ba2Li12Mg5 (a GGA-PBE-relaxed structure; CuKα).
Peak positions follow from Bragg's law for the DFT cell and can differ from measured ones.

Most intense lines, 2θ = 10–90°, by angle:
| 2theta | intensity | hkl |
| --- | --- | --- |
| 11.26 | 207 | 1 0 1 |
| 16.77 | 1000 | 1 1 0 |
| 20.24 | 296 | 0 2 1 |
| 24.23 | 806 | 1 1 3 |
| 25.20 | 367 | 1 0 4 |
| 29.26 | 339 | 3 0 0 |
| 33.92 | 427 | 2 2 0 |
| 34.22 | 428 | 3 0 3 |
| 34.94 | 332 | 2 1 4 |
| 42.72 | 170 | 1 3 4 |
| 45.39 | 168 | 4 1 0 |
| 48.95 | 254 | 1 4 3 |

Structure:
Unit cell a=10.5723 b=10.5723 c=15.3269 alpha=90.00 beta=90.00 gamma=120.00
Space group R-3m (No. 166, hexagonal axes)
Symmetry-distinct sites (fractional):
Ba (0.0000, 0.0000, 0.1526) (multiplicity 6)
Li (0.0000, 0.2820, 0.5000) (multiplicity 18)
Li (0.0151, 0.5076, 0.3488) (multiplicity 18)
Mg (0.0000, 0.0000, 0.3983) (multiplicity 6)
Mg (0.0000, 0.5000, 0.0000) (multiplicity 9)

---

Entry 3:
Structure and theoretical XRD peak list of Lu3Pd (a GGA-PBE-relaxed structure; CuKα).
Peak positions follow from Bragg's law for the DFT cell and can differ from measured ones.

Most intense lines, 2θ = 10–90°, by angle:
| 2theta | intensity | hkl |
| --- | --- | --- |
| 26.31 | 81 | 1 0 1 |
| 30.29 | 240 | 0 1 3 |
| 33.36 | 154 | 0 0 4 |
| 34.44 | 307 | 0 2 0 |
| 34.74 | 1000 | 1 1 2 |
| 45.69 | 81 | 0 1 5 |
| 48.70 | 107 | 0 2 4 |
| 49.52 | 94 | 1 0 5 |
| 51.18 | 101 | 2 0 0 |
| 61.71 | 99 | 1 2 5 |
| 61.89 | 189 | 1 3 2 |
| 63.15 | 147 | 2 2 0 |

Structure:
Unit cell a=3.5698 b=5.2087 c=10.7421 alpha=90.00 beta=90.00 gamma=90.00
Space group Immm (No. 71)
Symmetry-distinct sites (fractional):
Lu (0.0000, 0.0000, 0.0000) (multiplicity 2)
Lu (0.0000, 0.5000, 0.2046) (multiplicity 4)
Pd (0.0000, 0.0000, 0.5000) (multiplicity 2)

---

Entry 4:
Structure and theoretical XRD peak list of CePm10Pr4 (a GGA-PBE-relaxed structure; CuKα).
Peak positions follow from Bragg's law for the DFT cell and can differ from measured ones.

Most intense lines, 2θ = 10–90°, by angle:
| 2theta | intensity | hkl |
| --- | --- | --- |
| 24.54 | 140 | 3 1 0 |
| 26.94 | 269 | 2 0 2 |
| 30.17 | 260 | 3 2 1 |
| 31.19 | 1000 | 4 0 0 |
| 33.14 | 311 | 3 3 0 |
| 34.11 | 143 | 1 0 3 |
| 40.09 | 313 | 3 3 2 |
| 44.70 | 193 | 0 0 4 |
| 52.32 | 144 | 5 0 3 |
| 55.53 | 162 | 4 0 4 |
| 64.54 | 130 | 3 2 5 |
| 66.18 | 168 | 7 3 2 |

Structure:
Unit cell a=11.4739 b=11.4739 c=8.1015 alpha=90.00 beta=90.00 gamma=90.00
Space group I4/mmm (No. 139)
Symmetry-distinct sites (fractional):
Ce (0.0000, 0.0000, 0.0000) (multiplicity 2)
Pm (0.0000, 0.2089, 0.2915) (multiplicity 16)
Pm (0.0000, 0.5000, 0.2500) (multiplicity 4)
Pr (0.2261, 0.2261, 0.0000) (multiplicity 8)